Record 1
The following is a computed XRD peak list of Ho2SnAu2. It was derived from the PBE geometry in the Materials Project, using Cu Kα, 1.54184 Å.
No peak broadening, texture or thermal motion is included.

The 6 most intense peaks (2θ = 5–70°), low angle first:
2theta	I_rel
15.82	14
32.92	19
34.87	100
35.84	42
61.88	14
68.53	13

Atomic structure:
```
Ho2SnAu2
1.0
7.923 0.000 0.000
0.000 7.923 0.000
0.000 0.000 7.486
Ho Sn Au
8 4 8
direct
0.157 0.157 0.000
0.184 0.184 0.500
0.316 0.684 0.000
0.343 0.657 0.500
0.657 0.343 0.500
0.684 0.316 0.000
0.816 0.816 0.500
0.843 0.843 0.000
0.000 0.500 0.250
0.000 0.500 0.750
0.500 0.000 0.250
0.500 0.000 0.750
0.128 0.872 0.278
0.128 0.872 0.722
0.372 0.372 0.222
0.372 0.372 0.778
0.628 0.628 0.222
0.628 0.628 0.778
0.872 0.128 0.278
0.872 0.128 0.722
```

***

Record 2
The following is a computed XRD peak list of HoSnAu. It was derived from the PBE geometry in the Materials Project, using Cu Kα, 1.54184 Å.
No peak broadening, texture or thermal motion is included.

The 6 most intense peaks (2θ = 5–70°), low angle first:
2theta	I_rel
24.94	29
32.63	100
38.30	95
42.73	33
51.17	29
65.68	27

Atomic structure:
```
HoSnAu
1.0
4.700 0.000 0.000
-2.350 4.071 0.000
0.000 0.000 7.432
Ho Sn Au
2 2 2
direct
0.000 0.000 0.000
0.000 0.000 0.500
0.333 0.667 0.274
0.667 0.333 0.774
0.333 0.667 0.671
0.667 0.333 0.171
```

***

Record 3
The following is a computed XRD peak list of K2InAuI6. It was derived from the PBE geometry in the Materials Project, using Cu Kα, 1.54184 Å.
No peak broadening, texture or thermal motion is included.

The 6 most intense peaks (2θ = 5–70°), low angle first:
2theta	I_rel
14.91	92
25.97	40
30.07	100
33.72	52
43.05	74
45.81	28

Atomic structure:
```
K2InAuI6
1.0
0.000 5.943 5.943
5.943 0.000 5.943
5.943 5.943 0.000
K In Au I
2 1 1 6
direct
0.250 0.250 0.250
0.750 0.750 0.750
0.000 0.000 0.000
0.500 0.500 0.500
0.252 0.252 0.748
0.252 0.748 0.252
0.252 0.748 0.748
0.748 0.252 0.252
0.748 0.252 0.748
0.748 0.748 0.252
```

***

Record 4
The following is a computed XRD peak list of InAuI8N2. It was derived from the PBE geometry in the Materials Project, using Cu Kα, 1.54184 Å.
No peak broadening, texture or thermal motion is included.

The 6 most intense peaks (2θ = 5–70°), low angle first:
2theta	I_rel
15.69	65
16.40	67
22.58	50
25.12	62
26.33	100
29.31	72

Atomic structure:
```
InAuI8N2
1.0
12.881 0.000 0.000
0.000 19.900 0.000
0.000 0.000 8.109
In Au I N
4 4 32 8
direct
0.176 0.250 0.118
0.324 0.750 0.618
0.676 0.250 0.382
0.824 0.750 0.882
0.000 0.000 0.500
0.000 0.500 0.500
0.500 0.000 0.000
0.500 0.500 0.000
0.008 0.750 0.044
0.093 0.053 0.766
0.093 0.447 0.766
0.102 0.047 0.233
0.102 0.453 0.233
0.168 0.250 0.453
0.214 0.636 0.506
0.214 0.864 0.506
0.286 0.136 0.006
0.286 0.364 0.006
0.332 0.750 0.953
0.398 0.547 0.733
0.398 0.953 0.733
0.407 0.553 0.266
0.407 0.947 0.266
0.492 0.250 0.544
0.508 0.750 0.456
0.593 0.053 0.734
0.593 0.447 0.734
0.602 0.047 0.267
0.602 0.453 0.267
0.668 0.250 0.047
0.714 0.636 0.994
0.714 0.864 0.994
0.786 0.136 0.494
0.786 0.364 0.494
0.832 0.750 0.547
0.898 0.547 0.767
0.898 0.953 0.767
0.907 0.553 0.234
0.907 0.947 0.234
0.992 0.250 0.956
0.156 0.604 0.988
0.156 0.896 0.988
0.344 0.104 0.488
0.344 0.396 0.488
0.656 0.604 0.512
0.656 0.896 0.512
0.844 0.104 0.012
0.844 0.396 0.012
```

***

Record 5
The following is a computed XRD peak list of K3Au3I8. It was derived from the PBE geometry in the Materials Project, using Cu Kα, 1.54184 Å.
No peak broadening, texture or thermal motion is included.

The 6 most intense peaks (2θ = 5–70°), low angle first:
2theta	I_rel
14.68	100
16.70	28
29.18	21
29.60	92
30.04	18
46.20	21

Atomic structure:
```
K3Au3I8
1.0
6.692 -4.225 0.000
6.692 4.225 0.000
-2.394 0.000 20.542
K Au I
6 6 16
direct
0.018 0.982 0.750
0.314 0.321 0.415
0.321 0.314 0.915
0.679 0.686 0.085
0.686 0.679 0.585
0.982 0.018 0.250
0.000 0.000 0.000
0.000 0.000 0.500
0.383 0.383 0.189
0.383 0.383 0.689
0.617 0.617 0.311
0.617 0.617 0.811
0.090 0.506 0.757
0.151 0.220 0.063
0.166 0.700 0.574
0.220 0.151 0.563
0.243 0.686 0.125
0.300 0.834 0.926
0.314 0.757 0.375
0.494 0.910 0.743
0.506 0.090 0.257
0.686 0.243 0.625
0.700 0.166 0.074
0.757 0.314 0.875
0.780 0.849 0.437
0.834 0.300 0.426
0.849 0.780 0.937
0.910 0.494 0.243
```

***

Record 6
The following is a computed XRD peak list of K2AuI5O15. It was derived from the PBE geometry in the Materials Project, using Cu Kα, 1.54184 Å.
No peak broadening, texture or thermal motion is included.

The 6 most intense peaks (2θ = 5–70°), low angle first:
2theta	I_rel
14.91	38
18.32	28
26.05	100
29.98	19
30.40	20
43.24	26

Atomic structure:
```
K2AuI5O15
1.0
5.881 -5.960 0.000
5.881 5.960 0.000
0.000 0.000 11.871
K Au I O
4 2 10 30
direct
0.006 0.530 0.500
0.470 0.994 0.500
0.530 0.006 0.000
0.994 0.470 0.000
0.010 0.990 0.616
0.990 0.010 0.116
0.237 0.763 0.776
0.238 0.275 0.743
0.257 0.743 0.221
0.275 0.238 0.243
0.499 0.501 0.488
0.501 0.499 0.988
0.725 0.762 0.743
0.743 0.257 0.721
0.762 0.725 0.243
0.763 0.237 0.276
0.038 0.278 0.804
0.038 0.722 0.831
0.157 0.186 0.108
0.159 0.841 0.092
0.180 0.820 0.624
0.186 0.157 0.608
0.226 0.541 0.166
0.246 0.461 0.663
0.278 0.038 0.304
0.278 0.962 0.831
0.313 0.448 0.914
0.361 0.639 0.419
0.448 0.313 0.414
0.459 0.774 0.166
0.461 0.246 0.163
0.539 0.754 0.663
0.541 0.226 0.666
0.552 0.687 0.914
0.639 0.361 0.919
0.687 0.552 0.414
0.722 0.038 0.331
0.722 0.962 0.804
0.754 0.539 0.163
0.774 0.459 0.666
0.814 0.843 0.108
0.820 0.180 0.124
0.841 0.159 0.592
0.843 0.814 0.608
0.962 0.278 0.331
0.962 0.722 0.304
```